Record 1
For AlCdCu3Se4, DFT lattice parameters and positions (PBE) gives the simulated PXRD pattern in this record (CuKα).

Main lines, by angle (2θ from 15° to 90°):
- 2θ 21.42, rel. 75, (1 1 0)
- 2θ 26.31, rel. 1000, (1 1 1)
- 2θ 37.55, rel. 45, (2 1 1)
- 2θ 43.64, rel. 874, (2 2 0)
- 2θ 51.68, rel. 437, (3 1 1)
- 2θ 58.90, rel. 27, (3 2 1)
- 2θ 63.42, rel. 134, (4 0 0)
- 2θ 69.89, rel. 165, (3 3 1)
- 2θ 80.15, rel. 265, (4 2 2)
- 2θ 86.13, rel. 124, (3 3 3)

Structural model:
```
data_AlCdCu3Se4
_cell_length_a 5.867
_cell_length_b 5.867
_cell_length_c 5.867
_cell_angle_alpha 90.00
_cell_angle_beta 90.00
_cell_angle_gamma 90.00
_symmetry_space_group_name_H-M 'P -4 3 m'
_symmetry_Int_Tables_number 215
_symmetry_space_group_name_Hall 'P -4 2 3'
loop_
_atom_site_label
_atom_site_type_symbol
_atom_site_fract_x
_atom_site_fract_y
_atom_site_fract_z
_atom_site_occupancy
Al1 Al 0.000 0.000 0.000 1
Cd1 Cd 0.500 0.500 0.500 1
Cu1 Cu 0.000 0.000 0.500 1
Se1 Se 0.238 0.238 0.238 1
```



Record 2
For NaPtN, DFT lattice parameters and positions (PBE) gives the simulated PXRD pattern in this record (CuKα).

Main lines, by angle (2θ from 15° to 90°):
- 2θ 16.60, rel. 925, (0 0 2)
- 2θ 33.56, rel. 240, (0 0 4)
- 2θ 33.74, rel. 497, (1 0 0)
- 2θ 37.82, rel. 1000, (1 0 2)
- 2θ 48.32, rel. 421, (1 0 4)
- 2θ 60.34, rel. 162, (1 1 0)
- 2θ 62.83, rel. 244, (1 0 6)
- 2θ 63.05, rel. 169, (1 1 2)
- 2θ 70.84, rel. 171, (1 1 4)
- 2θ 73.45, rel. 146, (2 0 2)

Structural model:
```
data_NaPtN
_cell_length_a 3.0679
_cell_length_b 3.0679
_cell_length_c 10.6822
_cell_angle_alpha 90.00
_cell_angle_beta 90.00
_cell_angle_gamma 120.00
_symmetry_space_group_name_H-M 'P 63 m c'
_symmetry_Int_Tables_number 186
_symmetry_space_group_name_Hall 'P 6c -2c'
loop_
_atom_site_label
_atom_site_type_symbol
_atom_site_fract_x
_atom_site_fract_y
_atom_site_fract_z
_atom_site_occupancy
Na1 Na 0.3333 0.6667 0.0000 1
Pt1 Pt 0.0000 0.0000 0.2438 1
N1 N 0.3333 0.6667 0.3397 1
```



Record 3
For LuNi5, DFT lattice parameters and positions (PBE) gives the simulated PXRD pattern in this record (CuKα).

Main lines, by angle (2θ from 15° to 90°):
- 2θ 31.19, rel. 572, (1 0 1)
- 2θ 37.39, rel. 335, (1 1 0)
- 2θ 43.45, rel. 354, (2 0 0)
- 2θ 44.07, rel. 1000, (1 1 1)
- 2θ 45.91, rel. 269, (0 0 2)
- 2θ 60.64, rel. 161, (1 1 2)
- 2θ 63.61, rel. 151, (2 1 1)
- 2θ 65.05, rel. 206, (2 0 2)
- 2θ 72.10, rel. 219, (3 0 1)
- 2θ 83.68, rel. 150, (1 1 3)

Structural model:
```
data_LuNi5
_cell_length_a 4.8099
_cell_length_b 4.8099
_cell_length_c 3.9535
_cell_angle_alpha 90.00
_cell_angle_beta 90.00
_cell_angle_gamma 120.00
_symmetry_space_group_name_H-M 'P 6/m m m'
_symmetry_Int_Tables_number 191
_symmetry_space_group_name_Hall '-P 6 2'
loop_
_atom_site_label
_atom_site_type_symbol
_atom_site_fract_x
_atom_site_fract_y
_atom_site_fract_z
_atom_site_occupancy
Lu1 Lu 0.0000 0.0000 0.0000 1
Ni1 Ni 0.0000 0.5000 0.5000 1
Ni2 Ni 0.3333 0.6667 0.0000 1
```